Structure and computed X-ray powder pattern of Ba2CaReO6 (a GGA-PBE-relaxed structure; copper Kα).
Neutral-atom scattering factors, no anomalous dispersion.

Largest 8 diffraction maxima, in order of rising 2θ, 5° ≤ 2θ ≤ 70°:
- 18.13°, intensity 25
- 29.82°, intensity 100
- 35.13°, intensity 12
- 42.68°, intensity 30
- 52.94°, intensity 40
- 56.43°, intensity 5
- 61.95°, intensity 19
- 65.13°, intensity 5

Crystal structure
a = 5.9914 Å, b = 5.9914 Å, c = 5.9914 Å
α = 60.00°, β = 60.00°, γ = 60.00°
Element x y z (fractional)
Ba (0.2500, 0.2500, 0.2500)
Ba (0.7500, 0.7500, 0.7500)
Ca (0.0000, 0.0000, 0.0000)
Re (0.5000, 0.5000, 0.5000)
O (0.2708, 0.2708, 0.7292)
O (0.2708, 0.7292, 0.2708)
O (0.2708, 0.7292, 0.7292)
O (0.7292, 0.2708, 0.2708)
O (0.7292, 0.2708, 0.7292)
O (0.7292, 0.7292, 0.2708)

=====

Structure and computed X-ray powder pattern of Ba2CaReO6 (a GGA-PBE-relaxed structure; copper Kα).
Neutral-atom scattering factors, no anomalous dispersion.

Largest 8 diffraction maxima, in order of rising 2θ, 5° ≤ 2θ ≤ 70°:
- 18.13°, intensity 25
- 29.82°, intensity 100
- 35.17°, intensity 8
- 42.53°, intensity 10
- 42.76°, intensity 20
- 52.84°, intensity 13
- 52.99°, intensity 27
- 61.89°, intensity 12

Crystal structure
a = 5.9967 Å, b = 5.9967 Å, c = 5.9967 Å
α = 120.17°, β = 120.17°, γ = 89.71°
Element x y z (fractional)
Ba (0.2500, 0.7500, 0.5000)
Ba (0.7500, 0.2500, 0.5000)
Ca (0.0000, 0.0000, 0.0000)
Re (0.5000, 0.5000, 0.0000)
O (0.2495, 0.2933, 0.5428)
O (0.2709, 0.2709, 0.0000)
O (0.2933, 0.7505, 0.0438)
O (0.7067, 0.2495, 0.9562)
O (0.7291, 0.7291, 0.0000)
O (0.7505, 0.7067, 0.4572)

=====

Structure and computed X-ray powder pattern of Ba3CaRu2O9 (a GGA-PBE-relaxed structure; copper Kα).
Neutral-atom scattering factors, no anomalous dispersion.

Largest 8 diffraction maxima, in order of rising 2θ, 5° ≤ 2θ ≤ 70°:
- 24.85°, intensity 23
- 29.55°, intensity 61
- 29.87°, intensity 100
- 39.23°, intensity 19
- 42.52°, intensity 37
- 52.83°, intensity 22
- 53.03°, intensity 20
- 62.06°, intensity 19

Crystal structure
a = 5.9819 Å, b = 5.9819 Å, c = 14.8862 Å
α = 90.00°, β = 90.00°, γ = 120.00°
Element x y z (fractional)
Ba (0.0000, 0.0000, 0.2500)
Ba (0.0000, 0.0000, 0.7500)
Ba (0.3333, 0.6667, 0.0975)
Ba (0.3333, 0.6667, 0.4025)
Ba (0.6667, 0.3333, 0.5975)
Ba (0.6667, 0.3333, 0.9025)
Ca (0.0000, 0.0000, 0.0000)
Ca (0.0000, 0.0000, 0.5000)
Ru (0.3333, 0.6667, 0.6571)
Ru (0.3333, 0.6667, 0.8429)
Ru (0.6667, 0.3333, 0.1571)
Ru (0.6667, 0.3333, 0.3429)
O (0.0329, 0.5277, 0.7500)
O (0.1647, 0.3531, 0.5900)
O (0.1647, 0.3531, 0.9100)
O (0.1884, 0.8353, 0.5900)
O (0.1884, 0.8353, 0.9100)
O (0.3531, 0.1647, 0.0900)
O (0.3531, 0.1647, 0.4100)
O (0.4723, 0.5053, 0.7500)
O (0.4947, 0.9671, 0.7500)
O (0.5053, 0.4723, 0.2500)
O (0.5277, 0.0329, 0.2500)
O (0.6469, 0.8116, 0.5900)
O (0.6469, 0.8116, 0.9100)
O (0.8116, 0.6469, 0.0900)
O (0.8116, 0.6469, 0.4100)
O (0.8353, 0.1884, 0.0900)
O (0.8353, 0.1884, 0.4100)
O (0.9671, 0.4947, 0.2500)

=====

Structure and computed X-ray powder pattern of Ba3CaRu2O9 (a GGA-PBE-relaxed structure; copper Kα).
Neutral-atom scattering factors, no anomalous dispersion.

Largest 8 diffraction maxima, in order of rising 2θ, 5° ≤ 2θ ≤ 70°:
- 24.83°, intensity 23
- 29.53°, intensity 62
- 29.91°, intensity 100
- 39.26°, intensity 19
- 42.53°, intensity 38
- 52.86°, intensity 23
- 53.10°, intensity 20
- 62.15°, intensity 19

Crystal structure
a = 5.9743 Å, b = 5.9743 Å, c = 14.9174 Å
α = 90.00°, β = 90.00°, γ = 120.00°
Element x y z (fractional)
Ba (0.0000, 0.0000, 0.2500)
Ba (0.0000, 0.0000, 0.7500)
Ba (0.3333, 0.6667, 0.0994)
Ba (0.3333, 0.6667, 0.4006)
Ba (0.6667, 0.3333, 0.5994)
Ba (0.6667, 0.3333, 0.9006)
Ca (0.0000, 0.0000, 0.0000)
Ca (0.0000, 0.0000, 0.5000)
Ru (0.3333, 0.6667, 0.6573)
Ru (0.3333, 0.6667, 0.8427)
Ru (0.6667, 0.3333, 0.1573)
Ru (0.6667, 0.3333, 0.3427)
O (0.0321, 0.5160, 0.7500)
O (0.1761, 0.3522, 0.5906)
O (0.1761, 0.3522, 0.9094)
O (0.1761, 0.8239, 0.5906)
O (0.1761, 0.8239, 0.9094)
O (0.3522, 0.1761, 0.0906)
O (0.3522, 0.1761, 0.4094)
O (0.4840, 0.5160, 0.7500)
O (0.4840, 0.9679, 0.7500)
O (0.5160, 0.0321, 0.2500)
O (0.5160, 0.4840, 0.2500)
O (0.6478, 0.8239, 0.5906)
O (0.6478, 0.8239, 0.9094)
O (0.8239, 0.1761, 0.0906)
O (0.8239, 0.1761, 0.4094)
O (0.8239, 0.6478, 0.0906)
O (0.8239, 0.6478, 0.4094)
O (0.9679, 0.4840, 0.2500)

=====

Structure and computed X-ray powder pattern of Ba3CaRu2O9 (a GGA-PBE-relaxed structure; copper Kα).
Neutral-atom scattering factors, no anomalous dispersion.

Largest 8 diffraction maxima, in order of rising 2θ, 5° ≤ 2θ ≤ 70°:
- 30.12°, intensity 100
- 30.29°, intensity 99
- 43.24°, intensity 62
- 53.40°, intensity 20
- 53.70°, intensity 39
- 53.81°, intensity 19
- 62.63°, intensity 19
- 63.00°, intensity 19

Crystal structure
a = 5.9019 Å, b = 5.9019 Å, c = 7.2860 Å
α = 90.00°, β = 90.00°, γ = 120.00°
Element x y z (fractional)
Ba (0.0000, 0.0000, 0.0000)
Ba (0.3333, 0.6667, 0.6770)
Ba (0.6667, 0.3333, 0.3230)
Ca (0.0000, 0.0000, 0.5000)
Ru (0.3333, 0.6667, 0.1658)
Ru (0.6667, 0.3333, 0.8342)
O (0.0000, 0.5000, 0.0000)
O (0.1784, 0.3568, 0.3135)
O (0.1784, 0.8216, 0.3135)
O (0.3568, 0.1784, 0.6865)
O (0.5000, 0.0000, 0.0000)
O (0.5000, 0.5000, 0.0000)
O (0.6432, 0.8216, 0.3135)
O (0.8216, 0.1784, 0.6865)
O (0.8216, 0.6432, 0.6865)

=====

Structure and computed X-ray powder pattern of Ba12SrCa3Ru8O36 (a GGA-PBE-relaxed structure; copper Kα).
Neutral-atom scattering factors, no anomalous dispersion.

Largest 8 diffraction maxima, in order of rising 2θ, 5° ≤ 2θ ≤ 70°:
- 24.65°, intensity 22
- 29.26°, intensity 66
- 29.84°, intensity 100
- 39.08°, intensity 18
- 42.29°, intensity 40
- 52.61°, intensity 24
- 52.98°, intensity 20
- 62.00°, intensity 19

Crystal structure
a = 5.9876 Å, b = 5.9876 Å, c = 30.2047 Å
α = 90.00°, β = 90.00°, γ = 120.00°
Element x y z (fractional)
Ba (0.0000, 0.0000, 0.1246)
Ba (0.0000, 0.0000, 0.3723)
Ba (0.0000, 0.0000, 0.6277)
Ba (0.0000, 0.0000, 0.8754)
Ba (0.3333, 0.6667, 0.2983)
Ba (0.3333, 0.6667, 0.4435)
Ba (0.3333, 0.6667, 0.8005)
Ba (0.3333, 0.6667, 0.9500)
Ba (0.6667, 0.3333, 0.0500)
Ba (0.6667, 0.3333, 0.1995)
Ba (0.6667, 0.3333, 0.5565)
Ba (0.6667, 0.3333, 0.7017)
Sr (0.0000, 0.0000, 0.5000)
Ca (0.0000, 0.0000, 0.0000)
Ca (0.0000, 0.0000, 0.2487)
Ca (0.0000, 0.0000, 0.7513)
Ru (0.3333, 0.6667, 0.0786)
Ru (0.3333, 0.6667, 0.1707)
Ru (0.3333, 0.6667, 0.5819)
Ru (0.3333, 0.6667, 0.6735)
Ru (0.6667, 0.3333, 0.3265)
Ru (0.6667, 0.3333, 0.4181)
Ru (0.6667, 0.3333, 0.8293)
Ru (0.6667, 0.3333, 0.9214)
O (0.0298, 0.5149, 0.6279)
O (0.0323, 0.5161, 0.1246)
O (0.1759, 0.3519, 0.0454)
O (0.1762, 0.3524, 0.2038)
O (0.1759, 0.3519, 0.7064)
O (0.1759, 0.8241, 0.0454)
O (0.1762, 0.8238, 0.2038)
O (0.1759, 0.8241, 0.7064)
O (0.1772, 0.3544, 0.5496)
O (0.1772, 0.8228, 0.5496)
O (0.3519, 0.1759, 0.2936)
O (0.3524, 0.1762, 0.7962)
O (0.3519, 0.1759, 0.9546)
O (0.3544, 0.1772, 0.4504)
O (0.4839, 0.5161, 0.1246)
O (0.4839, 0.9677, 0.1246)
O (0.4851, 0.5149, 0.6279)
O (0.4851, 0.9702, 0.6279)
O (0.5149, 0.0298, 0.3721)
O (0.5149, 0.4851, 0.3721)
O (0.5161, 0.0323, 0.8754)
O (0.5161, 0.4839, 0.8754)
O (0.6456, 0.8228, 0.5496)
O (0.6481, 0.8241, 0.0454)
O (0.6476, 0.8238, 0.2038)
O (0.6481, 0.8241, 0.7064)
O (0.8228, 0.1772, 0.4504)
O (0.8228, 0.6456, 0.4504)
O (0.8241, 0.1759, 0.2936)
O (0.8238, 0.1762, 0.7962)
O (0.8241, 0.1759, 0.9546)
O (0.8241, 0.6481, 0.2936)
O (0.8238, 0.6476, 0.7962)
O (0.8241, 0.6481, 0.9546)
O (0.9677, 0.4839, 0.8754)
O (0.9702, 0.4851, 0.3721)

=====

Structure and computed X-ray powder pattern of BaCaSb4O8 (a GGA-PBE-relaxed structure; copper Kα).
Neutral-atom scattering factors, no anomalous dispersion.

Largest 8 diffraction maxima, in order of rising 2θ, 5° ≤ 2θ ≤ 70°:
- 24.14°, intensity 15
- 28.53°, intensity 100
- 29.30°, intensity 64
- 41.36°, intensity 29
- 50.54°, intensity 28
- 51.02°, intensity 30
- 58.09°, intensity 22
- 59.06°, intensity 13

Crystal structure
a = 6.2564 Å, b = 6.2564 Å, c = 7.3723 Å
α = 90.00°, β = 90.00°, γ = 120.00°
Element x y z (fractional)
Ba (0.0000, 0.0000, 0.0000)
Ca (0.0000, 0.0000, 0.5000)
Sb (0.3333, 0.6667, 0.2720)
Sb (0.3333, 0.6667, 0.7280)
Sb (0.6667, 0.3333, 0.2720)
Sb (0.6667, 0.3333, 0.7280)
O (0.0000, 0.2999, 0.2804)
O (0.0000, 0.7001, 0.7196)
O (0.2999, 0.0000, 0.2804)
O (0.2999, 0.2999, 0.7196)
O (0.3333, 0.6667, 0.0000)
O (0.6667, 0.3333, 0.0000)
O (0.7001, 0.0000, 0.7196)
O (0.7001, 0.7001, 0.2804)

=====

Structure and computed X-ray powder pattern of Ba3CaSb2O9 (a GGA-PBE-relaxed structure; copper Kα).
Neutral-atom scattering factors, no anomalous dispersion.

Largest 8 diffraction maxima, in order of rising 2θ, 5° ≤ 2θ ≤ 70°:
- 28.69°, intensity 21
- 29.15°, intensity 18
- 29.33°, intensity 100
- 29.56°, intensity 15
- 41.86°, intensity 11
- 42.43°, intensity 11
- 51.97°, intensity 13
- 60.89°, intensity 12

Crystal structure
a = 6.0864 Å, b = 6.0864 Å, c = 15.0747 Å
α = 91.03°, β = 91.03°, γ = 119.80°
Element x y z (fractional)
Ba (0.0100, 0.9900, 0.7500)
Ba (0.3230, 0.6606, 0.4101)
Ba (0.3394, 0.6770, 0.0899)
Ba (0.6606, 0.3230, 0.9101)
Ba (0.6770, 0.3394, 0.5899)
Ba (0.9900, 0.0100, 0.2500)
Ca (0.0000, 0.0000, 0.0000)
Ca (0.0000, 0.0000, 0.5000)
Sb (0.3166, 0.6425, 0.8454)
Sb (0.3575, 0.6834, 0.6546)
Sb (0.6425, 0.3166, 0.3454)
Sb (0.6834, 0.3575, 0.1546)
O (0.0485, 0.5208, 0.7364)
O (0.1314, 0.3050, 0.8951)
O (0.1370, 0.7808, 0.9123)
O (0.2192, 0.8630, 0.5877)
O (0.2268, 0.3905, 0.5722)
O (0.3050, 0.1314, 0.3951)
O (0.3905, 0.2268, 0.0722)
O (0.4792, 0.9515, 0.7636)
O (0.4829, 0.5171, 0.7500)
O (0.5171, 0.4829, 0.2500)
O (0.5208, 0.0485, 0.2364)
O (0.6095, 0.7732, 0.9278)
O (0.6950, 0.8686, 0.6049)
O (0.7732, 0.6095, 0.4278)
O (0.7808, 0.1370, 0.4123)
O (0.8630, 0.2192, 0.0877)
O (0.8686, 0.6950, 0.1049)
O (0.9515, 0.4792, 0.2636)

=====

Structure and computed X-ray powder pattern of BaCaSmSbO6 (a GGA-PBE-relaxed structure; copper Kα).
Neutral-atom scattering factors, no anomalous dispersion.

Largest 8 diffraction maxima, in order of rising 2θ, 5° ≤ 2θ ≤ 70°:
- 21.02°, intensity 32
- 29.75°, intensity 93
- 29.87°, intensity 100
- 30.06°, intensity 90
- 42.75°, intensity 52
- 42.86°, intensity 26
- 52.77°, intensity 30
- 53.14°, intensity 30

Crystal structure
a = 5.9472 Å, b = 5.9992 Å, c = 8.4674 Å
α = 90.43°, β = 90.51°, γ = 90.09°
Element x y z (fractional)
Ba (0.0050, 0.0270, 0.2503)
Ba (0.9950, 0.9730, 0.7497)
Ca (0.4929, 0.5392, 0.2540)
Ca (0.5071, 0.4608, 0.7460)
Sm (0.0000, 0.5000, 0.5000)
Sm (0.5000, 0.0000, 0.0000)
Sb (0.0000, 0.5000, 0.0000)
Sb (0.5000, 0.0000, 0.5000)
O (0.1027, 0.4958, 0.7691)
O (0.1993, 0.7662, 0.0361)
O (0.2305, 0.8011, 0.4750)
O (0.2709, 0.3082, 0.0590)
O (0.3154, 0.2786, 0.4480)
O (0.4417, 0.0572, 0.7322)
O (0.5583, 0.9428, 0.2678)
O (0.6846, 0.7214, 0.5520)
O (0.7291, 0.6918, 0.9410)
O (0.7695, 0.1989, 0.5250)
O (0.8007, 0.2338, 0.9639)
O (0.8973, 0.5042, 0.2309)